# 1
# NaErB4H16
Calculated powder X-ray diffraction pattern, Cu Kα X-rays. Input: a cell relaxed with GGA-PBE.
No peak broadening, texture or thermal motion is included.

Crystal structure
Cell lengths 8.189, 11.779, 8.749 Å; angles 90.00, 90.00, 90.00 degrees
Space group Cmcm (No. 63)
Unique sites:
Na (0.000, 0.000, 0.000) x4
Er (0.000, 0.351, 0.250) x4
B (0.000, 0.235, 0.023) x8
B (0.244, 0.469, 0.250) x8
H (0.000, 0.179, 0.592) x8
H (0.000, 0.337, 0.509) x8
H (0.122, 0.216, 0.104) x16
H (0.133, 0.025, 0.250) x8
H (0.160, 0.489, 0.136) x16
H (0.226, 0.134, 0.750) x8

Most intense lines, 2θ = 5–70°, in order of falling intensity:
| 2θ (°) | I (rel.) | hkl |
| --- | --- | --- |
| 16.6 | 100 | 1 1 1 |
| 18.2 | 61 | 0 2 1 |
| 24.3 | 33 | 1 1 2 |
| 28.4 | 32 | 2 2 1 |
| 25.2 | 29 | 1 3 0 |
| 21.7 | 26 | 2 0 0 |
| 13.2 | 23 | 1 1 0 |
| 41.2 | 20 | 0 0 4 |
| 32.5 | 19 | 1 3 2 |
| 20.3 | 17 | 0 0 2 |
| 43.1 | 16 | 2 4 2 |
| 33.5 | 15 | 1 1 3 |

***

# 2
# Sc2Nb2O5
Calculated powder X-ray diffraction pattern, Cu Kα X-rays. Input: a cell relaxed with GGA-PBE.
No peak broadening, texture or thermal motion is included.

Crystal structure
Cell lengths 4.037, 4.037, 6.749 Å; angles 90.00, 90.00, 90.00 degrees
Space group P4/mmm (No. 123)
Unique sites:
Sc (0.000, 0.000, 0.000) x1
Sc (0.000, 0.000, 0.500) x1
Nb (0.500, 0.500, 0.195) x2
O (0.000, 0.500, 0.225) x4
O (0.500, 0.500, 0.500) x1

Most intense lines, 2θ = 5–70°, in order of falling intensity:
| 2θ (°) | I (rel.) | hkl |
| --- | --- | --- |
| 34.6 | 100 | 1 0 2 |
| 31.3 | 72 | 1 1 0 |
| 44.9 | 62 | 2 0 0 |
| 22.0 | 47 | 1 0 0 |
| 57.9 | 43 | 2 1 2 |
| 46.2 | 29 | 1 0 3 |
| 13.1 | 19 | 0 0 1 |
| 66.4 | 19 | 2 1 3 |
| 65.4 | 18 | 2 2 0 |
| 61.7 | 15 | 2 0 3 |
| 40.1 | 15 | 0 0 3 |
| 51.7 | 15 | 1 1 3 |

***

# 3
# Cd8Ag5
Calculated powder X-ray diffraction pattern, Cu Kα X-rays. Input: a cell relaxed with GGA-PBE.
No peak broadening, texture or thermal motion is included.

Crystal structure
Cell lengths 10.065, 10.065, 10.065 Å; angles 90.00, 90.00, 90.00 degrees
Space group I-43m (No. 217)
Unique sites:
Cd (0.034, 0.314, 0.314) x24
Cd (0.110, 0.110, 0.110) x8
Ag (0.000, 0.000, 0.356) x12
Ag (0.173, 0.173, 0.827) x8

Most intense lines, 2θ = 5–70°, in order of falling intensity:
| 2θ (°) | I (rel.) | hkl |
| --- | --- | --- |
| 37.9 | 100 | 3 3 0 |
| 68.5 | 20 | 6 3 3 |
| 54.7 | 10 | 6 0 0 |
| 30.8 | 6 | 2 2 2 |
| 64.1 | 5 | 4 4 4 |
| 33.3 | 5 | 3 2 1 |
| 42.1 | 5 | 3 3 2 |
| 62.6 | 3 | 6 3 1 |
| 65.6 | 3 | 5 5 0 |
| 46.0 | 3 | 5 1 0 |
| 44.1 | 3 | 4 2 2 |
| 56.3 | 2 | 6 1 1 |